# 1
The following is a simulated X-ray diffraction stick pattern of LaB4Rh7. It was derived from the GGA-PBE geometry in the Materials Project, using CuKα.
Intensities are scaled so that the largest is 100.

Crystal structure
a = 2.9169 Å, b = 9.6718 Å, c = 5.6144 Å
α = 90.00°, β = 90.00°, γ = 90.00°
Fractional positions:
La (0.0000, 0.0000, 0.0000)
B (0.0000, 0.1680, 0.4996)
B (0.0000, 0.3330, 0.0009)
B (0.0000, 0.6670, 0.0009)
B (0.0000, 0.8320, 0.4996)
Rh (0.0000, 0.5000, 0.5003)
Rh (0.5000, 0.0000, 0.4994)
Rh (0.5000, 0.2594, 0.7429)
Rh (0.5000, 0.2620, 0.2597)
Rh (0.5000, 0.5000, 0.9942)
Rh (0.5000, 0.7380, 0.2597)
Rh (0.5000, 0.7406, 0.7429)

Peak list (10 most intense, 10° ≤ 2θ ≤ 90°, by intensity)
| d/Å | intensity |
| --- | --- |
| 2.428 | 100.0 |
| 2.500 | 84.8 |
| 2.418 | 48.5 |
| 2.018 | 37.5 |
| 1.250 | 35.1 |
| 1.550 | 24.7 |
| 1.866 | 19.6 |
| 2.023 | 18.4 |
| 1.398 | 18.1 |
| 2.917 | 14.8 |

# 2
The following is a simulated X-ray diffraction stick pattern of LaB2Rh3. It was derived from the GGA-PBE geometry in the Materials Project, using CuKα.
Intensities are scaled so that the largest is 100.

Crystal structure
a = 5.5411 Å, b = 5.5411 Å, c = 3.1375 Å
α = 90.00°, β = 90.00°, γ = 120.00°
Fractional positions:
La (0.0000, 0.0000, 0.0000)
B (0.3333, 0.6667, 0.0000)
B (0.6667, 0.3333, 0.0000)
Rh (0.0000, 0.5000, 0.5000)
Rh (0.5000, 0.0000, 0.5000)
Rh (0.5000, 0.5000, 0.5000)

Peak list (10 most intense, 10° ≤ 2θ ≤ 90°, by intensity)
| d/Å | intensity |
| --- | --- |
| 2.399 | 100.0 |
| 2.626 | 71.3 |
| 2.077 | 43.3 |
| 1.570 | 39.3 |
| 1.313 | 28.8 |
| 1.385 | 18.9 |
| 1.906 | 17.4 |
| 1.225 | 12.9 |
| 1.425 | 12.5 |
| 1.200 | 10.7 |

# 3
The following is a simulated X-ray diffraction stick pattern of LaB4Ru4. It was derived from the GGA-PBE geometry in the Materials Project, using CuKα.
Intensities are scaled so that the largest is 100.

Crystal structure
a = 7.5926 Å, b = 7.5926 Å, c = 4.0189 Å
α = 90.00°, β = 90.00°, γ = 90.00°
Fractional positions:
La (0.2500, 0.2500, 0.2500)
La (0.7500, 0.7500, 0.7500)
B (0.0381, 0.5835, 0.1406)
B (0.0835, 0.9619, 0.6406)
B (0.4165, 0.5381, 0.6406)
B (0.4619, 0.9165, 0.1406)
B (0.5381, 0.0835, 0.8594)
B (0.5835, 0.4619, 0.3594)
B (0.9165, 0.0381, 0.3594)
B (0.9619, 0.4165, 0.8594)
Ru (0.1060, 0.8580, 0.1413)
Ru (0.1420, 0.6060, 0.6413)
Ru (0.3580, 0.8940, 0.6413)
Ru (0.3940, 0.6420, 0.1413)
Ru (0.6060, 0.3580, 0.8587)
Ru (0.6420, 0.1060, 0.3587)
Ru (0.8580, 0.3940, 0.3587)
Ru (0.8940, 0.1420, 0.8587)

Peak list (10 most intense, 10° ≤ 2θ ≤ 90°, by intensity)
| d/Å | intensity |
| --- | --- |
| 2.594 | 100.0 |
| 2.401 | 65.4 |
| 1.865 | 24.3 |
| 2.232 | 23.6 |
| 1.943 | 22.9 |
| 3.552 | 16.8 |
| 1.420 | 16.0 |
| 3.217 | 13.8 |
| 2.061 | 13.2 |
| 1.358 | 12.7 |

# 4
The following is a simulated X-ray diffraction stick pattern of La3B6Ru8. It was derived from the GGA-PBE geometry in the Materials Project, using CuKα.
Intensities are scaled so that the largest is 100.

Crystal structure
a = 10.0908 Å, b = 9.2415 Å, c = 5.6596 Å
α = 81.42°, β = 64.90°, γ = 33.68°
Fractional positions:
La (0.0000, 0.0000, 0.0000)
La (0.1820, 0.1820, 0.8180)
La (0.8180, 0.8180, 0.1820)
B (0.1650, 0.4931, 0.5069)
B (0.3308, 0.6692, 0.3308)
B (0.4931, 0.1650, 0.8350)
B (0.5069, 0.8350, 0.1650)
B (0.6692, 0.3308, 0.6692)
B (0.8350, 0.5069, 0.4931)
Ru (0.0858, 0.0858, 0.4142)
Ru (0.2500, 0.2500, 0.2500)
Ru (0.4132, 0.4132, 0.5868)
Ru (0.4142, 0.4142, 0.0858)
Ru (0.5858, 0.5858, 0.9142)
Ru (0.5868, 0.5868, 0.4132)
Ru (0.7500, 0.7500, 0.7500)
Ru (0.9142, 0.9142, 0.5858)

Peak list (10 most intense, 10° ≤ 2θ ≤ 90°, by intensity)
| d/Å | intensity |
| --- | --- |
| 2.430 | 100.0 |
| 2.853 | 61.6 |
| 2.461 | 51.7 |
| 2.522 | 43.1 |
| 2.206 | 36.3 |
| 2.024 | 26.6 |
| 1.415 | 21.1 |
| 1.563 | 20.2 |
| 1.257 | 17.4 |
| 1.872 | 13.8 |

# 5
The following is a simulated X-ray diffraction stick pattern of LaSmB12. It was derived from the GGA-PBE geometry in the Materials Project, using CuKα.
Intensities are scaled so that the largest is 100.

Crystal structure
a = 4.1354 Å, b = 4.1354 Å, c = 8.2745 Å
α = 90.00°, β = 90.00°, γ = 90.00°
Fractional positions:
La (0.0000, 0.0000, 0.0000)
Sm (0.0000, 0.0000, 0.5000)
B (0.1993, 0.5000, 0.2511)
B (0.1993, 0.5000, 0.7489)
B (0.5000, 0.1993, 0.2511)
B (0.5000, 0.1993, 0.7489)
B (0.5000, 0.5000, 0.1007)
B (0.5000, 0.5000, 0.4007)
B (0.5000, 0.5000, 0.5993)
B (0.5000, 0.5000, 0.8993)
B (0.5000, 0.8007, 0.2511)
B (0.5000, 0.8007, 0.7489)
B (0.8007, 0.5000, 0.2511)
B (0.8007, 0.5000, 0.7489)

Peak list (10 most intense, 10° ≤ 2θ ≤ 90°, by intensity)
| d/Å | intensity |
| --- | --- |
| 2.925 | 100.0 |
| 4.136 | 65.0 |
| 1.850 | 49.6 |
| 2.388 | 42.2 |
| 1.379 | 27.9 |
| 1.689 | 27.2 |
| 2.068 | 21.5 |
| 1.308 | 19.9 |
| 1.105 | 17.7 |
| 1.247 | 12.7 |

# 6
The following is a simulated X-ray diffraction stick pattern of LaSmB12. It was derived from the GGA-PBE geometry in the Materials Project, using CuKα.
Intensities are scaled so that the largest is 100.

Crystal structure
a = 5.8523 Å, b = 5.8523 Å, c = 5.8523 Å
α = 60.00°, β = 60.00°, γ = 60.00°
Fractional positions:
La (0.0000, 0.0000, 0.0000)
Sm (0.5000, 0.5000, 0.5000)
B (0.0997, 0.0997, 0.4003)
B (0.0997, 0.4003, 0.0997)
B (0.0997, 0.4003, 0.4003)
B (0.4003, 0.0997, 0.0997)
B (0.4003, 0.0997, 0.4003)
B (0.4003, 0.4003, 0.0997)
B (0.5997, 0.5997, 0.9003)
B (0.5997, 0.9003, 0.5997)
B (0.5997, 0.9003, 0.9003)
B (0.9003, 0.5997, 0.5997)
B (0.9003, 0.5997, 0.9003)
B (0.9003, 0.9003, 0.5997)

Peak list (10 most intense, 10° ≤ 2θ ≤ 90°, by intensity)
| d/Å | intensity |
| --- | --- |
| 2.926 | 100.0 |
| 4.138 | 65.1 |
| 1.851 | 49.6 |
| 2.389 | 42.3 |
| 1.379 | 27.9 |
| 1.689 | 27.2 |
| 2.069 | 21.5 |
| 1.309 | 19.9 |
| 1.106 | 17.7 |
| 1.248 | 12.7 |